# CoReOsSeO
Theoretical powder X-ray diffraction pattern, copper Kα. Input: the PBE+U geometry in Alexandria.
Neutral-atom scattering factors, no anomalous dispersion.

Cell and atoms:
```
CoReOsSeO
1.0
2.7819 0.0000 0.0000
0.0000 1.7753 9.3830
0.0000 -1.7753 9.3830
Co Re Os Se O
1 1 1 1 1
direct
0.0000 0.0000 0.0000
0.0000 0.8476 0.8476
0.5000 0.4175 0.4175
0.5000 0.1010 0.1010
0.0000 0.7557 0.7557
```

Main lines, low angle first (2θ = 15–90°):
two_theta, d (Å), I_rel
18.9, 4.692, 52
28.9, 3.088, 59
34.8, 2.579, 46
37.6, 2.393, 26
41.5, 2.175, 100
42.2, 2.140, 54
43.5, 2.079, 60
43.8, 2.067, 50
50.8, 1.798, 24
69.6, 1.350, 30